Theoretical XRD peak list of Yb3YSi4O14 for copper Kα, from DFT lattice parameters and positions (PBE).
Peak positions follow from Bragg's law for the DFT cell and can differ from measured ones.

The 6 most intense peaks (2θ = 15–90°), in order of rising 2θ:
hkl, 2θ (°), d (Å), I_rel
0 1 1, 16.34, 5.425, 40
1 0 0, 18.87, 4.703, 72
1 1 -1, 27.25, 3.273, 100
1 1 3, 29.19, 3.059, 64
0 2 0, 32.31, 2.770, 49
1 -2 0, 39.12, 2.303, 41

Structure:
Lattice parameters (Å, degrees): 4.8074 5.7137 11.3134 76.65 79.06 82.79
Fractional positions:
Yb (0.0000, 0.0000, 0.0000)
Yb (0.0010, 0.9252, 0.6924)
Yb (0.0032, 0.5008, 0.5014)
Y (0.0018, 0.4242, 0.1928)
Si (0.4105, 0.3539, 0.7386)
Si (0.4096, 0.8545, 0.2378)
Si (0.5920, 0.5715, 0.9551)
Si (0.5936, 0.0715, 0.4545)
O (0.2203, 0.0689, 0.1559)
O (0.2224, 0.1234, 0.8034)
O (0.2233, 0.6219, 0.3034)
O (0.2236, 0.5692, 0.6559)
O (0.2893, 0.6521, 0.0362)
O (0.2926, 0.1537, 0.5374)
O (0.4982, 0.9649, 0.3465)
O (0.5047, 0.4601, 0.8467)
O (0.7118, 0.2725, 0.6557)
O (0.7119, 0.7727, 0.1568)
O (0.7794, 0.8023, 0.8887)
O (0.7796, 0.3580, 0.0387)
O (0.7806, 0.8569, 0.5373)
O (0.7821, 0.3020, 0.3890)